Record 1
For V8Ni2O15, the GGA+U geometry in the Materials Project gives the simulated powder diffraction line list in this record (Cu Kα).
No peak broadening, texture or thermal motion is included.

abc: 5.520 5.520 21.026
angles: 93.73 93.73 54.99
Fractional positions:
V (0.007, 0.509, 0.928)
V (0.107, 0.614, 0.231)
V (0.186, 0.690, 0.669)
V (0.199, 0.723, 0.528)
V (0.277, 0.801, 0.972)
V (0.310, 0.814, 0.831)
V (0.386, 0.893, 0.269)
V (0.491, 0.993, 0.572)
V (0.509, 0.007, 0.428)
V (0.614, 0.107, 0.731)
V (0.690, 0.186, 0.169)
V (0.723, 0.199, 0.028)
V (0.801, 0.277, 0.472)
V (0.814, 0.310, 0.331)
V (0.893, 0.386, 0.769)
V (0.993, 0.491, 0.072)
Ni (0.099, 0.588, 0.370)
Ni (0.412, 0.901, 0.130)
Ni (0.588, 0.099, 0.870)
Ni (0.901, 0.412, 0.630)
O (0.042, 0.162, 0.548)
O (0.069, 0.260, 0.412)
O (0.070, 0.877, 0.310)
O (0.123, 0.930, 0.190)
O (0.138, 0.330, 0.285)
O (0.162, 0.042, 0.048)
O (0.241, 0.371, 0.152)
O (0.260, 0.069, 0.912)
O (0.278, 0.467, 0.012)
O (0.323, 0.540, 0.892)
O (0.330, 0.138, 0.785)
O (0.371, 0.241, 0.652)
O (0.444, 0.556, 0.750)
O (0.460, 0.677, 0.608)
O (0.467, 0.278, 0.512)
O (0.533, 0.722, 0.488)
O (0.540, 0.323, 0.392)
O (0.556, 0.444, 0.250)
O (0.629, 0.759, 0.348)
O (0.670, 0.862, 0.215)
O (0.677, 0.460, 0.108)
O (0.722, 0.533, 0.988)
O (0.740, 0.931, 0.088)
O (0.759, 0.629, 0.848)
O (0.838, 0.958, 0.952)
O (0.862, 0.670, 0.715)
O (0.877, 0.070, 0.810)
O (0.930, 0.123, 0.690)
O (0.931, 0.740, 0.588)
O (0.958, 0.838, 0.452)

Peak list (6 most intense, 10° ≤ 2θ ≤ 80°, most intense first)
- d 2.744, rel. 1000
- d 2.537, rel. 526
- d 1.724, rel. 496
- d 3.738, rel. 318
- d 2.549, rel. 278
- d 1.869, rel. 264


Record 2
For VNiO3, the GGA+U geometry in the Materials Project gives the simulated powder diffraction line list in this record (Cu Kα).
No peak broadening, texture or thermal motion is included.

abc: 4.976 5.103 5.433
angles: 62.24 63.86 60.88
Fractional positions:
V (0.148, 0.160, 0.048)
V (0.852, 0.840, 0.952)
Ni (0.351, 0.352, 0.444)
Ni (0.649, 0.648, 0.556)
O (0.044, 0.769, 0.237)
O (0.231, 0.561, 0.763)
O (0.430, 0.057, 0.239)
O (0.570, 0.943, 0.761)
O (0.769, 0.439, 0.237)
O (0.956, 0.231, 0.763)

Peak list (6 most intense, 10° ≤ 2θ ≤ 80°, most intense first)
- d 2.551, rel. 1000
- d 2.744, rel. 590
- d 2.696, rel. 559
- d 2.714, rel. 548
- d 2.487, rel. 428
- d 1.709, rel. 418


Copy entry 1 word for word.
For V8Ni2O15, the GGA+U geometry in the Materials Project gives the simulated powder diffraction line list in this record (Cu Kα).
No peak broadening, texture or thermal motion is included.

abc: 5.520 5.520 21.026
angles: 93.73 93.73 54.99
Fractional positions:
V (0.007, 0.509, 0.928)
V (0.107, 0.614, 0.231)
V (0.186, 0.690, 0.669)
V (0.199, 0.723, 0.528)
V (0.277, 0.801, 0.972)
V (0.310, 0.814, 0.831)
V (0.386, 0.893, 0.269)
V (0.491, 0.993, 0.572)
V (0.509, 0.007, 0.428)
V (0.614, 0.107, 0.731)
V (0.690, 0.186, 0.169)
V (0.723, 0.199, 0.028)
V (0.801, 0.277, 0.472)
V (0.814, 0.310, 0.331)
V (0.893, 0.386, 0.769)
V (0.993, 0.491, 0.072)
Ni (0.099, 0.588, 0.370)
Ni (0.412, 0.901, 0.130)
Ni (0.588, 0.099, 0.870)
Ni (0.901, 0.412, 0.630)
O (0.042, 0.162, 0.548)
O (0.069, 0.260, 0.412)
O (0.070, 0.877, 0.310)
O (0.123, 0.930, 0.190)
O (0.138, 0.330, 0.285)
O (0.162, 0.042, 0.048)
O (0.241, 0.371, 0.152)
O (0.260, 0.069, 0.912)
O (0.278, 0.467, 0.012)
O (0.323, 0.540, 0.892)
O (0.330, 0.138, 0.785)
O (0.371, 0.241, 0.652)
O (0.444, 0.556, 0.750)
O (0.460, 0.677, 0.608)
O (0.467, 0.278, 0.512)
O (0.533, 0.722, 0.488)
O (0.540, 0.323, 0.392)
O (0.556, 0.444, 0.250)
O (0.629, 0.759, 0.348)
O (0.670, 0.862, 0.215)
O (0.677, 0.460, 0.108)
O (0.722, 0.533, 0.988)
O (0.740, 0.931, 0.088)
O (0.759, 0.629, 0.848)
O (0.838, 0.958, 0.952)
O (0.862, 0.670, 0.715)
O (0.877, 0.070, 0.810)
O (0.930, 0.123, 0.690)
O (0.931, 0.740, 0.588)
O (0.958, 0.838, 0.452)

Peak list (6 most intense, 10° ≤ 2θ ≤ 80°, most intense first)
- d 2.744, rel. 1000
- d 2.537, rel. 526
- d 1.724, rel. 496
- d 3.738, rel. 318
- d 2.549, rel. 278
- d 1.869, rel. 264